Entry 1:
The following is a calculated PXRD pattern of Na5Mn7O16. It was derived from a DFT-relaxed cell (GGA+U, the Materials Project), using Cu Kα (λ = 1.5418 Å).

Structural model:
```
data_Na5Mn7O16
_space_group_name_H-M_alt 'P 1 2/m 1'
_space_group_IT_number 10
_cell_length_a 6.210
_cell_length_b 5.978
_cell_length_c 8.811
_cell_angle_alpha 90.00
_cell_angle_beta 91.97
_cell_angle_gamma 90.00
loop_
_space_group_symop_operation_xyz
'x,y,z'
'-x,-y,-z'
'-x,y,-z'
'x,-y,z'
loop_
_atom_site_label
_atom_site_fract_x
_atom_site_fract_y
_atom_site_fract_z
_atom_site_occupancy
Na1 0.000 0.000 0.000 1
Na2 0.235 0.500 0.119 1
Na3 0.237 0.000 0.374 1
Mn1 0.000 0.500 0.500 1
Mn2 0.270 0.249 0.750 1
Mn3 0.500 0.000 0.000 1
Mn4 0.500 0.500 0.500 1
O1 0.069 0.500 0.749 1
O2 0.080 0.000 0.737 1
O3 0.256 0.291 0.521 1
O4 0.289 0.228 0.962 1
O5 0.483 0.500 0.722 1
O6 0.484 0.000 0.771 1
```

Peak list (10 most intense, 10 to 90 degrees two-theta, in order of rising 2θ)
| 2θ/deg | I (rel.) |
| --- | --- |
| 17.19 | 100 |
| 17.76 | 39 |
| 17.93 | 64 |
| 34.02 | 32 |
| 34.69 | 30 |
| 34.99 | 39 |
| 41.00 | 39 |
| 41.97 | 71 |
| 59.32 | 34 |
| 60.90 | 36 |



Entry 2:
The following is a calculated PXRD pattern of Fe6O11F. It was derived from a DFT-relaxed cell (GGA+U, the Materials Project), using Cu Kα (λ = 1.5418 Å).

Structural model:
```
data_Fe6O11F
_space_group_name_H-M_alt 'A m m 2'
_space_group_IT_number 38
_cell_length_a 8.986
_cell_length_b 6.454
_cell_length_c 6.614
_cell_angle_alpha 90.00
_cell_angle_beta 90.00
_cell_angle_gamma 90.00
loop_
_space_group_symop_operation_xyz
'x,y,z'
'-x,-y,z'
'-x,y,z'
'x,-y,z'
'x,y+1/2,z+1/2'
'-x,-y+1/2,z+1/2'
'-x,y+1/2,z+1/2'
'x,-y+1/2,z+1/2'
loop_
_atom_site_label
_atom_site_fract_x
_atom_site_fract_y
_atom_site_fract_z
_atom_site_occupancy
Fe1 0.000 0.000 0.000 1
Fe2 0.166 0.000 0.500 1
Fe3 0.327 0.000 0.996 1
Fe4 0.500 0.000 0.523 1
O1 0.000 0.191 0.499 1
O2 0.159 0.000 0.808 1
O3 0.163 0.000 0.189 1
O4 0.333 0.192 0.505 1
O5 0.500 0.000 0.823 1
F1 0.500 0.000 0.205 1
```

Peak list (10 most intense, 10 to 90 degrees two-theta, in order of rising 2θ)
| 2θ/deg | I (rel.) |
| --- | --- |
| 26.96 | 98 |
| 27.64 | 95 |
| 35.73 | 100 |
| 39.00 | 21 |
| 53.53 | 58 |
| 54.30 | 55 |
| 55.58 | 16 |
| 57.08 | 15 |
| 61.96 | 15 |
| 68.52 | 39 |



Entry 3:
The following is a calculated PXRD pattern of Li9Mn2Co5O16. It was derived from a DFT-relaxed cell (GGA+U, the Materials Project), using Cu Kα (λ = 1.5418 Å).

Structural model:
```
data_Li9Mn2Co5O16
_space_group_name_H-M_alt 'C 1 2/m 1'
_space_group_IT_number 12
_cell_length_a 10.302
_cell_length_b 5.833
_cell_length_c 10.136
_cell_angle_alpha 90.00
_cell_angle_beta 109.66
_cell_angle_gamma 90.00
loop_
_space_group_symop_operation_xyz
'x,y,z'
'-x,-y,-z'
'-x,y,-z'
'x,-y,z'
'x+1/2,y+1/2,z'
'-x+1/2,-y+1/2,-z'
'-x+1/2,y+1/2,-z'
'x+1/2,-y+1/2,z'
loop_
_atom_site_label
_atom_site_fract_x
_atom_site_fract_y
_atom_site_fract_z
_atom_site_occupancy
Li1 0.000 0.000 0.000 1
Li2 0.245 0.000 0.243 1
Li3 0.250 0.000 0.755 1
Li4 0.250 0.250 0.000 1
Li5 0.250 0.250 0.500 1
Mn1 0.000 0.500 0.000 1
Mn2 0.000 0.500 0.500 1
Co1 0.000 0.000 0.500 1
Co2 0.000 0.244 0.244 1
O1 0.106 0.500 0.373 1
O2 0.113 0.000 0.858 1
O3 0.114 0.262 0.617 1
O4 0.114 0.266 0.122 1
O5 0.115 0.500 0.882 1
O6 0.117 0.000 0.378 1
```

Peak list (10 most intense, 10 to 90 degrees two-theta, in order of rising 2θ)
| 2θ/deg | I (rel.) |
| --- | --- |
| 18.29 | 100 |
| 35.93 | 15 |
| 36.09 | 26 |
| 37.64 | 11 |
| 43.33 | 28 |
| 43.70 | 54 |
| 57.53 | 10 |
| 62.80 | 15 |
| 63.66 | 15 |
| 67.01 | 9 |